Diffraction record for CeInCuAg. The XRD peak list is theoretical, not measured: it uses a crystal structure in the Materials Project, relaxed with GGA-PBE and Cu Kα, 1.54184 Å.
Lines closer than 0.1° are merged.

Structural model:
abc: 6.9583 6.9583 6.9583
angles: 90.00 90.00 90.00
Space group F-43m (No. 216)
Inequivalent atoms, fractional coordinates:
1 Ce 0.0000 0.0000 0.0000 [4 per cell]
2 In 0.0000 0.0000 0.5000 [4 per cell]
3 Cu 0.2500 0.2500 0.7500 [4 per cell]
4 Ag 0.2500 0.2500 0.2500 [4 per cell]

Most intense lines, 10 to 80 degrees two-theta, in order of rising 2θ:
2θ = 22.1°, rel. 3, hkl 1 1 1
2θ = 25.6°, rel. 4, hkl 2 0 0
2θ = 36.5°, rel. 100, hkl 2 2 0
2θ = 43.1°, rel. 2, hkl 3 1 1
2θ = 45.1°, rel. 1, hkl 2 2 2
2θ = 52.6°, rel. 17, hkl 4 0 0
2θ = 57.8°, rel. 1, hkl 3 3 1
2θ = 59.4°, rel. 2, hkl 4 2 0
2θ = 65.7°, rel. 34, hkl 4 2 2
2θ = 70.3°, rel. 1, hkl 5 1 1
2θ = 77.6°, rel. 10, hkl 4 4 0

Diffraction record for In3SbTe2. The XRD peak list is theoretical, not measured: it uses a crystal structure in the Materials Project, relaxed with GGA-PBE and Cu Kα, 1.54184 Å.
Lines closer than 0.1° are merged.

Structural model:
abc: 4.4738 6.2520 13.0256
angles: 90.00 90.00 90.00
Space group Immm (No. 71)
Inequivalent atoms, fractional coordinates:
1 In 0.0000 0.0000 0.0000 [2 per cell]
2 In 0.0000 0.0000 0.3390 [4 per cell]
3 Sb 0.0000 0.5000 0.0000 [2 per cell]
4 Te 0.0000 0.5000 0.3287 [4 per cell]

Most intense lines, 10 to 80 degrees two-theta, in order of rising 2θ:
2θ = 28.6°, rel. 100, hkl 0 2 0
2θ = 40.3°, rel. 13, hkl 2 0 0
2θ = 40.9°, rel. 50, hkl 1 2 3
2θ = 41.6°, rel. 12, hkl 0 0 6
2θ = 50.1°, rel. 14, hkl 2 2 0
2θ = 51.2°, rel. 13, hkl 0 2 6
2θ = 59.3°, rel. 8, hkl 2 0 6
2θ = 66.3°, rel. 6, hkl 3 0 3
2θ = 67.0°, rel. 11, hkl 1 4 3
2θ = 67.1°, rel. 11, hkl 2 2 6
2θ = 73.7°, rel. 9, hkl 3 2 3
2θ = 75.4°, rel. 8, hkl 1 2 9

Diffraction record for Mg3Bi. The XRD peak list is theoretical, not measured: it uses a crystal structure in the Materials Project, relaxed with GGA-PBE and Cu Kα, 1.54184 Å.
Lines closer than 0.1° are merged.

Structural model:
abc: 6.5635 6.5635 5.3235
angles: 90.00 90.00 120.00
Space group P6_3/mmc (No. 194)
Inequivalent atoms, fractional coordinates:
1 Mg 0.1608 0.3216 0.2500 [6 per cell]
2 Bi 0.3333 0.6667 0.7500 [2 per cell]

Most intense lines, 10 to 80 degrees two-theta, in order of rising 2θ:
2θ = 15.6°, rel. 35, hkl 1 0 0
2θ = 22.9°, rel. 100, hkl 1 0 1
2θ = 27.2°, rel. 43, hkl 1 1 0
2θ = 31.5°, rel. 19, hkl 2 0 0
2θ = 33.7°, rel. 21, hkl 0 0 2
2θ = 35.8°, rel. 79, hkl 2 0 1
2θ = 43.8°, rel. 25, hkl 1 1 2
2θ = 45.5°, rel. 32, hkl 2 1 1
2θ = 56.0°, rel. 15, hkl 2 2 0
2θ = 61.3°, rel. 15, hkl 3 1 1
2θ = 61.6°, rel. 17, hkl 2 0 3
2θ = 67.0°, rel. 17, hkl 2 2 2